# 1
Calculated X-ray diffraction stick pattern of LiCoSiO4 for Cu Kα (weighted mean of Kα1 and Kα2), from a PBE+U-relaxed structure.

Cell and atoms:
```
data_LiCoSiO4
_cell_length_a 5.6926
_cell_length_b 5.6926
_cell_length_c 8.0268
_cell_angle_alpha 90.00
_cell_angle_beta 90.00
_cell_angle_gamma 90.00
_space_group_name_H-M_alt 'P 43 2 2'
_space_group_IT_number 95
loop_
_space_group_symop_operation_xyz
'x,y,z'
'-y,x,z+3/4'
'-x,-y,z+1/2'
'y,-x,z+1/4'
'x,-y,-z+1/2'
'-y,-x,-z+3/4'
'-x,y,-z'
'y,x,-z+1/4'
loop_
_atom_site_label
_atom_site_fract_x
_atom_site_fract_y
_atom_site_fract_z
Li1 0.0000 0.2264 0.0000
Co1 0.2287 0.5000 0.2500
Si1 0.2567 0.2567 0.6250
O1 0.0147 0.2601 0.7385
O2 0.2600 0.4952 0.5004
```

Principal peaks in the range 2θ from 5° to 70°, most intense first:
hkl 1 0 3, 2θ 37.07, I = 100
hkl 1 1 1, 2θ 24.74, I = 53
hkl 2 2 4, 2θ 65.71, I = 39
hkl 1 0 0, 2θ 15.57, I = 37
hkl 1 0 2, 2θ 27.19, I = 32
hkl 2 2 0, 2θ 45.04, I = 30
hkl 1 1 2, 2θ 31.46, I = 22
hkl 3 0 3, 2θ 59.71, I = 19
hkl 4 0 0, 2θ 65.60, I = 19
hkl 0 0 4, 2θ 45.18, I = 15

=====

# 2
Calculated X-ray diffraction stick pattern of LiCoSiO4 for Cu Kα (weighted mean of Kα1 and Kα2), from a PBE+U-relaxed structure.

Cell and atoms:
```
data_LiCoSiO4
_cell_length_a 11.1086
_cell_length_b 5.0206
_cell_length_c 6.0442
_cell_angle_alpha 90.00
_cell_angle_beta 90.00
_cell_angle_gamma 90.00
_space_group_name_H-M_alt 'P n a 21'
_space_group_IT_number 33
loop_
_space_group_symop_operation_xyz
'x,y,z'
'-x,-y,z+1/2'
'-x+1/2,y+1/2,z+1/2'
'x+1/2,-y+1/2,z'
loop_
_atom_site_label
_atom_site_fract_x
_atom_site_fract_y
_atom_site_fract_z
Li1 0.0774 0.1698 0.0000
Co1 0.1671 0.6716 0.7464
Si1 0.1723 0.6701 0.2496
O1 0.0927 0.7396 0.4736
O2 0.1064 0.7813 0.0231
O3 0.1839 0.3442 0.2314
O4 0.1921 0.3030 0.7706
```

Principal peaks in the range 2θ from 5° to 70°, most intense first:
hkl 2 1 0, 2θ 23.89, I = 100
hkl 2 0 0, 2θ 15.96, I = 81
hkl 2 0 2, 2θ 33.76, I = 48
hkl 0 0 2, 2θ 29.56, I = 37
hkl 0 2 0, 2θ 35.77, I = 32
hkl 3 1 0, 2θ 29.99, I = 30
hkl 6 0 2, 2θ 58.46, I = 24
hkl 3 1 2, 2θ 42.61, I = 22
hkl 4 1 2, 2θ 48.04, I = 20
hkl 3 3 2, 2θ 68.98, I = 20